Entry 1:
Diffraction record for PrSmAu2. The powder diffractogram is theoretical, not measured: it uses a DFT-relaxed cell (GGA-PBE, OQMD) and Cu Kα.

Structural model:
a b c (Å): 4.800 5.837 7.446
angles (deg): 90.00 90.00 90.00
Element x y z (fractional)
Pr (0.000, 0.107, 0.000)
Pr (0.000, 0.893, 0.500)
Sm (0.500, 0.393, 0.369)
Sm (0.500, 0.607, 0.869)
Au (0.000, 0.400, 0.644)
Au (0.000, 0.600, 0.144)
Au (0.500, 0.102, 0.725)
Au (0.500, 0.898, 0.225)

Most intense lines, 10° ≤ 2θ ≤ 90°, sorted by position:
- 19.32°, 4.594 Å, intensity 25
- 30.39°, 2.942 Å, intensity 60
- 32.96°, 2.717 Å, intensity 37
- 34.13°, 2.627 Å, intensity 100
- 37.48°, 2.400 Å, intensity 49
- 38.05°, 2.365 Å, intensity 91
- 39.45°, 2.284 Å, intensity 21
- 50.76°, 1.799 Å, intensity 22
- 51.53°, 1.773 Å, intensity 21
- 63.79°, 1.459 Å, intensity 18
- 65.46°, 1.426 Å, intensity 36
- 68.00°, 1.379 Å, intensity 17


Entry 2:
Diffraction record for PrSm2Sn4Au4. The powder diffractogram is theoretical, not measured: it uses a DFT-relaxed cell (GGA-PBE, OQMD) and Cu Kα.

Structural model:
a b c (Å): 8.938 8.938 8.938
angles (deg): 149.99 131.38 58.20
Element x y z (fractional)
Pr (0.000, 0.000, 0.000)
Sm (0.370, 0.870, 0.500)
Sm (0.630, 0.130, 0.500)
Sn (0.216, 0.216, 0.000)
Sn (0.306, 0.500, 0.806)
Sn (0.694, 0.500, 0.194)
Sn (0.784, 0.784, 0.000)
Au (0.032, 0.332, 0.700)
Au (0.368, 0.668, 0.700)
Au (0.632, 0.332, 0.300)
Au (0.968, 0.668, 0.300)

Most intense lines, 10° ≤ 2θ ≤ 90°, sorted by position:
- 11.33°, 7.810 Å, intensity 21
- 31.10°, 2.876 Å, intensity 22
- 31.59°, 2.833 Å, intensity 100
- 32.37°, 2.766 Å, intensity 75
- 34.45°, 2.603 Å, intensity 33
- 35.62°, 2.520 Å, intensity 42
- 38.91°, 2.314 Å, intensity 53
- 40.66°, 2.219 Å, intensity 39
- 42.70°, 2.118 Å, intensity 27
- 52.94°, 1.730 Å, intensity 20
- 57.54°, 1.602 Å, intensity 27
- 65.93°, 1.417 Å, intensity 27


Entry 3:
Diffraction record for PrY2Sn4Au4. The powder diffractogram is theoretical, not measured: it uses a DFT-relaxed cell (GGA-PBE, OQMD) and Cu Kα.

Structural model:
a b c (Å): 8.910 8.910 8.910
angles (deg): 150.30 131.03 58.33
Element x y z (fractional)
Pr (0.000, 0.000, 0.000)
Y (0.371, 0.871, 0.500)
Y (0.629, 0.129, 0.500)
Sn (0.217, 0.217, 0.000)
Sn (0.308, 0.500, 0.808)
Sn (0.692, 0.500, 0.192)
Sn (0.783, 0.783, 0.000)
Au (0.034, 0.332, 0.702)
Au (0.370, 0.668, 0.702)
Au (0.630, 0.332, 0.298)
Au (0.966, 0.668, 0.298)

Most intense lines, 10° ≤ 2θ ≤ 90°, sorted by position:
- 11.37°, 7.781 Å, intensity 24
- 20.26°, 4.383 Å, intensity 21
- 31.68°, 2.824 Å, intensity 100
- 32.57°, 2.749 Å, intensity 65
- 34.58°, 2.594 Å, intensity 37
- 35.74°, 2.513 Å, intensity 40
- 39.45°, 2.284 Å, intensity 53
- 40.56°, 2.224 Å, intensity 37
- 42.85°, 2.111 Å, intensity 39
- 43.34°, 2.088 Å, intensity 24
- 53.46°, 1.714 Å, intensity 22
- 57.87°, 1.593 Å, intensity 26


Entry 4:
Diffraction record for Pr2ZnSnAu4. The powder diffractogram is theoretical, not measured: it uses a DFT-relaxed cell (GGA-PBE, OQMD) and Cu Kα.

Structural model:
a b c (Å): 4.739 4.739 9.512
angles (deg): 90.00 90.00 120.00
Element x y z (fractional)
Pr (0.333, 0.667, 0.252)
Pr (0.667, 0.333, 0.748)
Zn (0.000, 0.000, 0.500)
Sn (0.000, 0.000, 0.000)
Au (0.333, 0.667, 0.576)
Au (0.333, 0.667, 0.895)
Au (0.667, 0.333, 0.105)
Au (0.667, 0.333, 0.424)

Most intense lines, 10° ≤ 2θ ≤ 90°, sorted by position:
- 21.65°, 4.104 Å, intensity 25
- 35.79°, 2.509 Å, intensity 100
- 37.97°, 2.369 Å, intensity 82
- 44.01°, 2.058 Å, intensity 8
- 53.17°, 1.723 Å, intensity 33
- 62.84°, 1.479 Å, intensity 13
- 67.18°, 1.393 Å, intensity 33
- 68.60°, 1.368 Å, intensity 15
- 71.62°, 1.318 Å, intensity 9
- 75.83°, 1.255 Å, intensity 8
- 81.19°, 1.185 Å, intensity 9
- 88.11°, 1.109 Å, intensity 11


Entry 5:
Diffraction record for TbPrAu6. The powder diffractogram is theoretical, not measured: it uses a DFT-relaxed cell (GGA-PBE, OQMD) and Cu Kα.

Structural model:
a b c (Å): 5.091 6.302 5.185
angles (deg): 90.00 90.00 90.00
Element x y z (fractional)
Tb (0.000, 0.000, 0.000)
Pr (0.500, 0.500, 0.687)
Au (0.000, 0.251, 0.505)
Au (0.000, 0.500, 0.023)
Au (0.000, 0.749, 0.505)
Au (0.500, 0.000, 0.679)
Au (0.500, 0.235, 0.183)
Au (0.500, 0.765, 0.183)

Most intense lines, 10° ≤ 2θ ≤ 90°, sorted by position:
- 33.27°, 2.693 Å, intensity 26
- 34.60°, 2.593 Å, intensity 9
- 35.26°, 2.545 Å, intensity 42
- 37.80°, 2.380 Å, intensity 100
- 38.99°, 2.310 Å, intensity 50
- 49.26°, 1.850 Å, intensity 18
- 58.59°, 1.575 Å, intensity 9
- 61.16°, 1.515 Å, intensity 17
- 64.96°, 1.436 Å, intensity 21
- 65.77°, 1.420 Å, intensity 11
- 70.27°, 1.340 Å, intensity 11
- 72.62°, 1.302 Å, intensity 36


Entry 6:
Diffraction record for PrZn6Au6. The powder diffractogram is theoretical, not measured: it uses a DFT-relaxed cell (GGA-PBE, OQMD) and Cu Kα.

Structural model:
a b c (Å): 7.095 7.095 7.095
angles (deg): 136.49 99.96 95.84
Element x y z (fractional)
Pr (0.000, 0.000, 0.000)
Zn (0.000, 0.000, 0.500)
Zn (0.000, 0.500, 0.000)
Zn (0.241, 0.500, 0.741)
Zn (0.500, 0.000, 0.000)
Zn (0.500, 0.500, 0.500)
Zn (0.759, 0.500, 0.259)
Au (0.181, 0.681, 0.500)
Au (0.339, 0.000, 0.339)
Au (0.343, 0.343, 0.000)
Au (0.657, 0.657, 0.000)
Au (0.661, 0.000, 0.661)
Au (0.819, 0.319, 0.500)

Most intense lines, 10° ≤ 2θ ≤ 90°, sorted by position:
- 30.87°, 2.897 Å, intensity 18
- 33.00°, 2.715 Å, intensity 100
- 34.08°, 2.631 Å, intensity 69
- 38.59°, 2.333 Å, intensity 75
- 39.12°, 2.303 Å, intensity 56
- 39.53°, 2.280 Å, intensity 65
- 42.90°, 2.108 Å, intensity 29
- 44.07°, 2.055 Å, intensity 65
- 44.32°, 2.044 Å, intensity 26
- 60.33°, 1.534 Å, intensity 18
- 69.21°, 1.357 Å, intensity 30
- 71.05°, 1.327 Å, intensity 34


Entry 7:
Diffraction record for Pr4ZnAu2. The powder diffractogram is theoretical, not measured: it uses a DFT-relaxed cell (GGA-PBE, OQMD) and Cu Kα.

Structural model:
a b c (Å): 7.662 7.662 7.662
angles (deg): 96.25 96.25 141.46
Element x y z (fractional)
Pr (0.000, 0.239, 0.239)
Pr (0.000, 0.761, 0.761)
Pr (0.239, 0.000, 0.239)
Pr (0.761, 0.000, 0.761)
Zn (0.500, 0.500, 0.000)
Au (0.250, 0.750, 0.500)
Au (0.750, 0.250, 0.500)

Most intense lines, 10° ≤ 2θ ≤ 90°, sorted by position:
- 12.24°, 7.233 Å, intensity 75
- 17.34°, 5.115 Å, intensity 100
- 19.58°, 4.533 Å, intensity 38
- 26.27°, 3.393 Å, intensity 77
- 27.57°, 3.235 Å, intensity 40
- 35.09°, 2.557 Å, intensity 86
- 36.31°, 2.474 Å, intensity 51
- 37.69°, 2.387 Å, intensity 35
- 43.68°, 2.072 Å, intensity 70
- 45.53°, 1.992 Å, intensity 29
- 50.47°, 1.808 Å, intensity 30
- 68.92°, 1.363 Å, intensity 35


Entry 8:
Diffraction record for PtAu2. The powder diffractogram is theoretical, not measured: it uses a DFT-relaxed cell (GGA-PBE, OQMD) and Cu Kα.

Structural model:
a b c (Å): 4.581 4.581 2.824
angles (deg): 90.00 90.00 120.00
Element x y z (fractional)
Pt (0.000, 0.000, 0.000)
Au (0.333, 0.667, 0.327)
Au (0.667, 0.333, 0.673)

Most intense lines, 10° ≤ 2θ ≤ 90°, sorted by position:
- 39.16°, 2.301 Å, intensity 100
- 39.34°, 2.290 Å, intensity 99
- 56.71°, 1.623 Å, intensity 34
- 70.84°, 1.330 Å, intensity 18
- 71.20°, 1.324 Å, intensity 35
- 71.33°, 1.322 Å, intensity 18
- 84.16°, 1.150 Å, intensity 12
- 84.63°, 1.145 Å, intensity 12


Entry 9:
Diffraction record for Pt3AuS5. The powder diffractogram is theoretical, not measured: it uses a DFT-relaxed cell (GGA-PBE, OQMD) and Cu Kα.

Structural model:
a b c (Å): 6.676 6.676 5.151
angles (deg): 90.00 90.00 120.00
Element x y z (fractional)
Pt (0.000, 0.500, 0.000)
Pt (0.500, 0.000, 0.000)
Pt (0.500, 0.500, 0.000)
Au (0.000, 0.000, 0.500)
S (0.000, 0.000, 0.000)
S (0.333, 0.667, 0.255)
S (0.333, 0.667, 0.745)
S (0.667, 0.333, 0.255)
S (0.667, 0.333, 0.745)

Most intense lines, 10° ≤ 2θ ≤ 90°, sorted by position:
- 17.22°, 5.151 Å, intensity 42
- 23.13°, 3.846 Å, intensity 93
- 30.94°, 2.891 Å, intensity 100
- 31.95°, 2.801 Å, intensity 44
- 34.83°, 2.575 Å, intensity 20
- 35.61°, 2.521 Å, intensity 43
- 45.07°, 2.012 Å, intensity 34
- 47.27°, 1.923 Å, intensity 87
- 55.03°, 1.669 Å, intensity 33
- 60.47°, 1.531 Å, intensity 14
- 66.79°, 1.401 Å, intensity 19
- 75.41°, 1.260 Å, intensity 23


Entry 10:
Diffraction record for TlPtAuSeS2. The powder diffractogram is theoretical, not measured: it uses a DFT-relaxed cell (GGA-PBE, OQMD) and Cu Kα.

Structural model:
a b c (Å): 7.495 7.495 10.541
angles (deg): 90.00 90.00 151.86
Element x y z (fractional)
Tl (0.208, 0.792, 0.750)
Tl (0.792, 0.208, 0.250)
Pt (0.500, 0.500, 0.000)
Pt (0.500, 0.500, 0.500)
Au (0.123, 0.877, 0.250)
Au (0.877, 0.123, 0.750)
Se (0.460, 0.540, 0.250)
Se (0.540, 0.460, 0.750)
S (0.106, 0.894, 0.025)
S (0.106, 0.894, 0.475)
S (0.894, 0.106, 0.525)
S (0.894, 0.106, 0.975)

Most intense lines, 10° ≤ 2θ ≤ 90°, sorted by position:
- 16.82°, 5.270 Å, intensity 32
- 20.82°, 4.267 Å, intensity 78
- 30.45°, 2.936 Å, intensity 43
- 30.70°, 2.913 Å, intensity 100
- 31.88°, 2.807 Å, intensity 72
- 34.02°, 2.635 Å, intensity 65
- 38.10°, 2.362 Å, intensity 43
- 40.22°, 2.242 Å, intensity 31
- 46.47°, 1.954 Å, intensity 63
- 50.06°, 1.822 Å, intensity 24
- 53.67°, 1.708 Å, intensity 29
- 61.91°, 1.499 Å, intensity 23


Entry 11:
Diffraction record for ScPtAu. The powder diffractogram is theoretical, not measured: it uses a DFT-relaxed cell (GGA-PBE, OQMD) and Cu Kα.

Structural model:
a b c (Å): 4.458 4.458 4.458
angles (deg): 60.00 60.00 60.00
Element x y z (fractional)
Sc (0.000, 0.000, 0.000)
Pt (0.750, 0.750, 0.750)
Au (0.500, 0.500, 0.500)

Most intense lines, 10° ≤ 2θ ≤ 90°, sorted by position:
- 24.45°, 3.640 Å, intensity 78
- 28.31°, 3.153 Å, intensity 2
- 40.46°, 2.229 Å, intensity 100
- 47.85°, 1.901 Å, intensity 40
- 58.56°, 1.576 Å, intensity 17
- 64.41°, 1.447 Å, intensity 17
- 66.29°, 1.410 Å, intensity 1
- 73.59°, 1.287 Å, intensity 35
- 78.89°, 1.213 Å, intensity 13
- 87.52°, 1.115 Å, intensity 11


Entry 12:
Diffraction record for Sm4PtAu3. The powder diffractogram is theoretical, not measured: it uses a DFT-relaxed cell (GGA-PBE, OQMD) and Cu Kα.

Structural model:
a b c (Å): 3.856 4.694 10.998
angles (deg): 90.00 90.00 90.00
Element x y z (fractional)
Sm (0.000, 0.000, 0.000)
Sm (0.000, 0.500, 0.266)
Sm (0.500, 0.000, 0.483)
Sm (0.500, 0.500, 0.768)
Pt (0.500, 0.000, 0.217)
Au (0.000, 0.000, 0.717)
Au (0.000, 0.500, 0.542)
Au (0.500, 0.500, 0.043)

Most intense lines, 10° ≤ 2θ ≤ 90°, sorted by position:
- 31.10°, 2.876 Å, intensity 100
- 32.57°, 2.750 Å, intensity 31
- 37.92°, 2.372 Å, intensity 27
- 38.36°, 2.347 Å, intensity 37
- 38.95°, 2.312 Å, intensity 88
- 47.14°, 1.928 Å, intensity 20
- 51.17°, 1.785 Å, intensity 17
- 62.33°, 1.490 Å, intensity 18
- 64.87°, 1.437 Å, intensity 14
- 69.76°, 1.348 Å, intensity 16
- 77.13°, 1.237 Å, intensity 14
- 82.09°, 1.174 Å, intensity 15


Entry 13:
Diffraction record for SmZn3PtAu. The powder diffractogram is theoretical, not measured: it uses a DFT-relaxed cell (GGA-PBE, OQMD) and Cu Kα.

Structural model:
a b c (Å): 5.357 5.357 4.398
angles (deg): 90.00 90.00 120.00
Element x y z (fractional)
Sm (0.000, 0.000, 0.000)
Zn (0.006, 0.503, 0.500)
Zn (0.497, 0.503, 0.500)
Zn (0.497, 0.994, 0.500)
Pt (0.333, 0.667, 0.000)
Au (0.667, 0.333, 0.000)

Most intense lines, 10° ≤ 2θ ≤ 90°, sorted by position:
- 19.13°, 4.639 Å, intensity 11
- 20.19°, 4.398 Å, intensity 25
- 33.46°, 2.678 Å, intensity 46
- 39.39°, 2.288 Å, intensity 100
- 41.04°, 2.199 Å, intensity 23
- 44.14°, 2.052 Å, intensity 13
- 53.95°, 1.700 Å, intensity 24
- 63.80°, 1.459 Å, intensity 24
- 70.29°, 1.339 Å, intensity 14
- 73.66°, 1.286 Å, intensity 17
- 75.10°, 1.265 Å, intensity 9
- 84.75°, 1.144 Å, intensity 17


Entry 14:
Diffraction record for Sn2PtAu. The powder diffractogram is theoretical, not measured: it uses a DFT-relaxed cell (GGA-PBE, OQMD) and Cu Kα.

Structural model:
a b c (Å): 4.261 4.261 5.630
angles (deg): 90.00 90.00 120.00
Element x y z (fractional)
Sn (0.333, 0.667, 0.271)
Sn (0.667, 0.333, 0.729)
Pt (0.000, 0.000, 0.500)
Au (0.000, 0.000, 0.000)

Most intense lines, 10° ≤ 2θ ≤ 90°, sorted by position:
- 24.12°, 3.690 Å, intensity 52
- 28.93°, 3.086 Å, intensity 41
- 40.29°, 2.238 Å, intensity 100
- 42.43°, 2.130 Å, intensity 67
- 49.40°, 1.845 Å, intensity 8
- 52.17°, 1.753 Å, intensity 8
- 59.94°, 1.543 Å, intensity 32
- 71.76°, 1.315 Å, intensity 10
- 76.17°, 1.250 Å, intensity 32
- 77.62°, 1.230 Å, intensity 12
- 82.06°, 1.174 Å, intensity 19
- 87.07°, 1.119 Å, intensity 8


Entry 15:
Diffraction record for Zr2PtAu3. The powder diffractogram is theoretical, not measured: it uses a DFT-relaxed cell (GGA-PBE, OQMD) and Cu Kα.

Structural model:
a b c (Å): 3.558 3.558 8.783
angles (deg): 90.00 90.00 90.00
Element x y z (fractional)
Zr (0.000, 0.000, 0.000)
Zr (0.500, 0.500, 0.486)
Pt (0.000, 0.000, 0.334)
Au (0.000, 0.000, 0.662)
Au (0.500, 0.500, 0.162)
Au (0.500, 0.500, 0.830)

Most intense lines, 10° ≤ 2θ ≤ 90°, sorted by position:
- 20.22°, 4.392 Å, intensity 5
- 27.04°, 3.298 Å, intensity 13
- 35.68°, 2.516 Å, intensity 68
- 39.87°, 2.261 Å, intensity 100
- 51.35°, 1.779 Å, intensity 24
- 63.56°, 1.464 Å, intensity 6
- 66.92°, 1.398 Å, intensity 44
- 75.07°, 1.265 Å, intensity 16
- 75.58°, 1.258 Å, intensity 8
- 86.00°, 1.130 Å, intensity 11
- 86.49°, 1.125 Å, intensity 11
- 89.06°, 1.099 Å, intensity 11